[1]
Structure and theoretical powder XRD pattern of Mg2Si3 (a DFT-relaxed cell (GGA-PBE, the Materials Project); CuKα).
No peak broadening, texture or thermal motion is included.

Main lines, by intensity (10 to 90 degrees two-theta):
hkl 1 0 2, d 2.385, 37.72°, rel. 100
hkl 1 1 -2, d 2.514, 35.71°, rel. 93
hkl -2 1 1, d 1.763, 51.86°, rel. 87
hkl 0 2 -3, d 2.317, 38.87°, rel. 87
hkl 1 -2 1, d 2.507, 35.81°, rel. 80
hkl 0 1 -4, d 2.219, 40.66°, rel. 72
hkl -1 1 3, d 2.326, 38.71°, rel. 71
hkl 0 2 1, d 2.557, 35.09°, rel. 63
hkl 1 2 -1, d 1.962, 46.28°, rel. 60
hkl 0 2 3, d 1.850, 49.25°, rel. 50

```
data_Mg2Si3
_space_group_name_H-M_alt 'P -1'
_space_group_IT_number 2
_space_group_name_Hall '-P 1'
_cell_length_a 3.527
_cell_length_b 6.103
_cell_length_c 9.136
_cell_angle_alpha 99.28
_cell_angle_beta 100.04
_cell_angle_gamma 106.05
loop_
_atom_site_label
_atom_site_type_symbol
_atom_site_fract_x
_atom_site_fract_y
_atom_site_fract_z
Mg1 Mg 0.084 0.286 0.410
Mg2 Mg 0.242 0.092 0.883
Si1 Si 0.017 0.615 0.901
Si2 Si 0.349 0.439 0.720
Si3 Si 0.358 0.885 0.367
```

[2]
Structure and theoretical powder XRD pattern of Mg4Si7 (a DFT-relaxed cell (GGA-PBE, the Materials Project); CuKα).
No peak broadening, texture or thermal motion is included.

Main lines, by intensity (10 to 90 degrees two-theta):
hkl 1 1 4, d 2.457, 36.58°, rel. 100
hkl 0 2 0, d 1.970, 46.07°, rel. 78
hkl 1 1 -4, d 2.486, 36.13°, rel. 70
hkl 2 1 1, d 2.552, 35.17°, rel. 49
hkl 0 1 5, d 2.311, 38.98°, rel. 45
hkl 2 1 2, d 2.430, 36.99°, rel. 28
hkl 2 1 0, d 2.603, 34.46°, rel. 26
hkl 3 0 -2, d 2.215, 40.74°, rel. 25
hkl 2 1 -3, d 2.301, 39.14°, rel. 17
hkl 2 0 -4, d 2.517, 35.67°, rel. 16

```
data_Mg4Si7
_space_group_name_H-M_alt 'P 1 m 1'
_space_group_IT_number 6
_space_group_name_Hall 'P -2y'
_cell_length_a 6.935
_cell_length_b 3.941
_cell_length_c 14.266
_cell_angle_alpha 90.00
_cell_angle_beta 91.45
_cell_angle_gamma 90.00
loop_
_atom_site_label
_atom_site_type_symbol
_atom_site_fract_x
_atom_site_fract_y
_atom_site_fract_z
Mg1 Mg 0.000 0.000 0.000
Mg2 Mg 0.004 0.500 0.815
Mg3 Mg 0.077 0.500 0.574
Mg4 Mg 0.188 0.500 0.160
Mg5 Mg 0.361 0.000 0.311
Mg6 Mg 0.480 0.500 0.733
Mg7 Mg 0.508 0.000 0.081
Mg8 Mg 0.877 0.000 0.247
Si1 Si 0.077 0.500 0.361
Si2 Si 0.187 0.000 0.700
Si3 Si 0.311 0.500 0.965
Si4 Si 0.321 0.000 0.860
Si5 Si 0.373 0.500 0.458
Si6 Si 0.429 0.000 0.566
Si7 Si 0.571 0.500 0.219
Si8 Si 0.674 0.500 0.947
Si9 Si 0.681 0.500 0.385
Si10 Si 0.687 0.000 0.844
Si11 Si 0.693 0.500 0.581
Si12 Si 0.813 0.500 0.103
Si13 Si 0.824 0.000 0.683
Si14 Si 0.871 0.000 0.448
```

[3]
Structure and theoretical powder XRD pattern of Mg2Si3 (a DFT-relaxed cell (GGA-PBE, the Materials Project); CuKα).
No peak broadening, texture or thermal motion is included.

Main lines, by intensity (10 to 90 degrees two-theta):
hkl 1 2 0, d 2.678, 33.46°, rel. 100
hkl 1 0 2, d 2.799, 31.98°, rel. 94
hkl 2 0 -1, d 2.313, 38.94°, rel. 84
hkl -1 2 1, d 2.287, 39.40°, rel. 77
hkl 2 2 2, d 1.780, 51.32°, rel. 29
hkl 3 0 1, d 1.728, 53.00°, rel. 28
hkl 1 -2 1, d 2.368, 38.00°, rel. 27
hkl 1 1 -2, d 2.358, 38.16°, rel. 25
hkl 0 0 3, d 2.056, 44.04°, rel. 22
hkl 0 2 3, d 1.698, 54.02°, rel. 20

```
data_Mg2Si3
_space_group_name_H-M_alt 'P -1'
_space_group_IT_number 2
_space_group_name_Hall '-P 1'
_cell_length_a 5.273
_cell_length_b 5.985
_cell_length_c 6.209
_cell_angle_alpha 89.19
_cell_angle_beta 83.44
_cell_angle_gamma 85.68
loop_
_atom_site_label
_atom_site_type_symbol
_atom_site_fract_x
_atom_site_fract_y
_atom_site_fract_z
Mg1 Mg 0.004 0.260 0.429
Mg2 Mg 0.243 0.114 0.973
Si1 Si 0.190 0.609 0.959
Si2 Si 0.394 0.947 0.354
Si3 Si 0.424 0.551 0.277
```

[4]
Structure and theoretical powder XRD pattern of Mg2Si3 (a DFT-relaxed cell (GGA-PBE, the Materials Project); CuKα).
No peak broadening, texture or thermal motion is included.

Main lines, by intensity (10 to 90 degrees two-theta):
hkl 1 0 5, d 2.449, 36.70°, rel. 100
hkl 0 2 3, d 2.535, 35.40°, rel. 86
hkl -1 2 2, d 2.395, 37.56°, rel. 83
hkl 1 1 -3, d 2.682, 33.41°, rel. 69
hkl 0 2 -3, d 2.665, 33.63°, rel. 56
hkl 1 -2 2, d 2.423, 37.10°, rel. 56
hkl -2 1 1, d 1.867, 48.78°, rel. 51
hkl 1 0 -5, d 2.565, 34.98°, rel. 46
hkl 0 2 7, d 1.807, 50.50°, rel. 41
hkl 0 0 8, d 2.109, 42.88°, rel. 40

```
data_Mg2Si3
_space_group_name_H-M_alt 'P 1'
_space_group_IT_number 1
_space_group_name_Hall 'P 1'
_cell_length_a 3.793
_cell_length_b 5.945
_cell_length_c 16.910
_cell_angle_alpha 93.14
_cell_angle_beta 92.12
_cell_angle_gamma 99.26
loop_
_atom_site_label
_atom_site_type_symbol
_atom_site_fract_x
_atom_site_fract_y
_atom_site_fract_z
Mg1 Mg 0.000 0.000 0.000
Mg2 Mg 0.033 0.773 0.231
Mg3 Mg 0.120 0.317 0.158
Mg4 Mg 0.163 0.073 0.388
Mg5 Mg 0.535 0.306 0.904
Mg6 Mg 0.614 0.784 0.499
Mg7 Mg 0.653 0.540 0.737
Mg8 Mg 0.768 0.098 0.640
Si1 Si 0.021 0.570 0.392
Si2 Si 0.118 0.528 0.001
Si3 Si 0.176 0.754 0.633
Si4 Si 0.330 0.397 0.581
Si5 Si 0.351 0.928 0.771
Si6 Si 0.445 0.767 0.901
Si7 Si 0.486 0.485 0.303
Si8 Si 0.535 0.990 0.126
Si9 Si 0.622 0.103 0.268
Si10 Si 0.650 0.610 0.089
Si11 Si 0.792 0.307 0.494
Si12 Si 0.937 0.182 0.790
```

[5]
Structure and theoretical powder XRD pattern of Mg3Si4 (a DFT-relaxed cell (GGA-PBE, the Materials Project); CuKα).
No peak broadening, texture or thermal motion is included.

Main lines, by intensity (10 to 90 degrees two-theta):
hkl 1 -2 2, d 2.661, 33.69°, rel. 100
hkl 2 2 0, d 2.066, 43.82°, rel. 87
hkl 0 0 3, d 2.415, 37.23°, rel. 84
hkl 2 -2 0, d 2.082, 43.47°, rel. 78
hkl 2 0 0, d 2.583, 34.73°, rel. 76
hkl 0 2 2, d 2.156, 41.90°, rel. 74
hkl 0 3 -1, d 2.477, 36.26°, rel. 72
hkl 1 2 -2, d 2.683, 33.40°, rel. 63
hkl -1 1 1, d 3.335, 26.73°, rel. 58
hkl -1 2 1, d 2.459, 36.54°, rel. 54

```
data_Mg3Si4
_space_group_name_H-M_alt 'P 1'
_space_group_IT_number 1
_space_group_name_Hall 'P 1'
_cell_length_a 5.166
_cell_length_b 7.437
_cell_length_c 7.750
_cell_angle_alpha 110.78
_cell_angle_beta 90.98
_cell_angle_gamma 90.04
loop_
_atom_site_label
_atom_site_type_symbol
_atom_site_fract_x
_atom_site_fract_y
_atom_site_fract_z
Mg1 Mg 0.000 0.000 0.000
Mg2 Mg 0.013 0.572 0.664
Mg3 Mg 0.247 0.443 0.241
Mg4 Mg 0.497 0.281 0.614
Mg5 Mg 0.518 0.703 0.952
Mg6 Mg 0.753 0.823 0.373
Si1 Si 0.019 0.130 0.622
Si2 Si 0.026 0.648 0.052
Si3 Si 0.325 0.936 0.707
Si4 Si 0.509 0.075 0.238
Si5 Si 0.516 0.633 0.564
Si6 Si 0.521 0.161 0.972
Si7 Si 0.854 0.337 0.903
Si8 Si 0.935 0.220 0.362
```

[6]
Structure and theoretical powder XRD pattern of Mg4Si3 (a DFT-relaxed cell (GGA-PBE, the Materials Project); CuKα).
No peak broadening, texture or thermal motion is included.

Main lines, by intensity (10 to 90 degrees two-theta):
hkl 2 1 -1, d 2.392, 37.60°, rel. 100
hkl 0 2 -4, d 2.436, 36.90°, rel. 100
hkl 2 -1 3, d 2.410, 37.31°, rel. 87
hkl -2 1 3, d 2.526, 35.55°, rel. 75
hkl 0 1 5, d 2.349, 38.31°, rel. 65
hkl -1 2 4, d 2.319, 38.83°, rel. 55
hkl 0 3 1, d 2.211, 40.82°, rel. 51
hkl 2 0 2, d 2.551, 35.18°, rel. 45
hkl 1 1 -4, d 2.591, 34.62°, rel. 43
hkl 2 -3 1, d 2.120, 42.65°, rel. 43

```
data_Mg4Si3
_space_group_name_H-M_alt 'P 1'
_space_group_IT_number 1
_space_group_name_Hall 'P 1'
_cell_length_a 6.074
_cell_length_b 7.204
_cell_length_c 12.929
_cell_angle_alpha 93.12
_cell_angle_beta 93.37
_cell_angle_gamma 108.19
loop_
_atom_site_label
_atom_site_type_symbol
_atom_site_fract_x
_atom_site_fract_y
_atom_site_fract_z
Mg1 Mg 0.000 0.000 0.000
Mg2 Mg 0.004 0.982 0.313
Mg3 Mg 0.017 0.001 0.765
Mg4 Mg 0.103 0.609 0.801
Mg5 Mg 0.256 0.512 0.034
Mg6 Mg 0.290 0.054 0.540
Mg7 Mg 0.343 0.715 0.352
Mg8 Mg 0.434 0.329 0.834
Mg9 Mg 0.480 0.979 0.969
Mg10 Mg 0.508 0.968 0.743
Mg11 Mg 0.539 0.451 0.479
Mg12 Mg 0.547 0.123 0.310
Mg13 Mg 0.738 0.953 0.535
Mg14 Mg 0.787 0.557 0.259
Mg15 Mg 0.792 0.566 0.026
Mg16 Mg 0.991 0.349 0.443
Si1 Si 0.134 0.334 0.645
Si2 Si 0.229 0.838 0.149
Si3 Si 0.241 0.344 0.263
Si4 Si 0.302 0.674 0.581
Si5 Si 0.433 0.250 0.118
Si6 Si 0.621 0.712 0.864
Si7 Si 0.657 0.862 0.154
Si8 Si 0.710 0.652 0.685
Si9 Si 0.722 0.308 0.656
Si10 Si 0.850 0.238 0.138
Si11 Si 0.868 0.274 0.895
Si12 Si 0.964 0.713 0.458
```